Calculated X-ray powder pattern of Nd2Y2CI3Br2 for copper Kα, from a DFT-relaxed cell (PBE, OQMD).
Lines closer than 0.1° are merged.

Structural model:
```
10
Lattice="9.3997 -1.9820 0.0000 9.3997 1.9820 0.0000 -1.9413 0.0000 8.3433" Properties=species:S:1:pos:R:3 pbc="T T T"
Nd 2.4442 0.0000 0.6181
Nd 14.4139 0.0000 7.7252
Y 9.0255 0.0000 1.5919
Y 7.8326 0.0000 6.7515
C 0.0000 0.0000 0.0000
I -0.9707 0.0000 4.1717
I 5.8592 0.0000 1.6107
I 10.9989 0.0000 6.7327
Br 5.1889 0.0000 5.5216
Br 11.6692 0.0000 2.8217
```

Top 8 peaks for 10 to 90 degrees two-theta, low angle first:
Position (°2θ), intensity
10.60, 29
27.63, 19
29.27, 45
30.14, 21
30.73, 100
33.27, 30
42.95, 53
45.78, 19